Structure and theoretical PXRD pattern of Pr4SbTe (a DFT-relaxed cell (PBE, Alexandria); copper Kα).
Intensities are scaled so that the largest is 1000.

Main lines, sorted by position (2θ = 10–90°):
24.63°, intensity 508; 27.91°, intensity 749; 28.06°, intensity 727; 30.84°, intensity 1000; 36.32°, intensity 619; 36.50°, intensity 604; 38.83°, intensity 501; 38.99°, intensity 534

Structural model:
abc: 4.905 4.905 8.715
angles: 90.40 90.40 72.47
Positions (direct):
Pr (0.143, 0.143, 0.144)
Pr (0.354, 0.354, 0.644)
Pr (0.646, 0.646, 0.356)
Pr (0.857, 0.857, 0.856)
Sb (0.500, 0.500, 0.000)
Te (0.000, 0.000, 0.500)

***

Structure and theoretical PXRD pattern of PrTh4Sb5 (a DFT-relaxed cell (PBE, Alexandria); copper Kα).
Intensities are scaled so that the largest is 1000.

Main lines, sorted by position (2θ = 10–90°):
24.14°, intensity 125; 27.95°, intensity 1000; 39.94°, intensity 777; 49.45°, intensity 281; 65.32°, intensity 245; 65.43°, intensity 122; 72.50°, intensity 181; 72.58°, intensity 90

Structural model:
abc: 11.960 11.960 11.960
angles: 158.24 149.08 38.13
Positions (direct):
Pr (0.000, 0.000, 0.000)
Th (0.201, 0.201, 0.000)
Th (0.400, 0.400, 0.000)
Th (0.600, 0.600, 0.000)
Th (0.799, 0.799, 0.000)
Sb (0.101, 0.601, 0.500)
Sb (0.300, 0.800, 0.500)
Sb (0.500, 0.000, 0.500)
Sb (0.700, 0.200, 0.500)
Sb (0.899, 0.399, 0.500)

***

Structure and theoretical PXRD pattern of Pr8TlSb5 (a DFT-relaxed cell (PBE, Alexandria); copper Kα).
Intensities are scaled so that the largest is 1000.

Main lines, sorted by position (2θ = 10–90°):
29.31°, intensity 538; 29.43°, intensity 997; 34.93°, intensity 1000; 44.20°, intensity 156; 46.31°, intensity 152; 48.32°, intensity 229; 59.34°, intensity 267; 72.33°, intensity 148

Structural model:
abc: 8.323 8.323 8.323
angles: 109.59 109.59 109.23
Positions (direct):
Pr (0.120, 0.374, 0.108)
Pr (0.120, 0.376, 0.607)
Pr (0.266, 0.013, 0.892)
Pr (0.487, 0.880, 0.256)
Pr (0.624, 0.230, 0.744)
Pr (0.626, 0.734, 0.747)
Pr (0.770, 0.513, 0.393)
Pr (0.987, 0.880, 0.253)
Tl (0.500, 0.500, 0.000)
Sb (0.250, 0.750, 0.500)
Sb (0.374, 0.252, 0.373)
Sb (0.748, 0.122, 0.122)
Sb (0.878, 0.001, 0.627)
Sb (0.999, 0.626, 0.878)

***

Structure and theoretical PXRD pattern of Pr5Tl2Sb (a DFT-relaxed cell (PBE, Alexandria); copper Kα).
Intensities are scaled so that the largest is 1000.

Main lines, sorted by position (2θ = 10–90°):
30.40°, intensity 1000; 32.35°, intensity 486; 33.75°, intensity 105; 42.41°, intensity 99; 47.45°, intensity 114; 52.75°, intensity 101; 60.66°, intensity 231; 67.44°, intensity 90

Structural model:
abc: 9.108 9.108 9.108
angles: 122.58 122.58 85.59
Positions (direct):
Pr (0.000, 0.000, 0.000)
Pr (0.008, 0.508, 0.821)
Pr (0.187, 0.008, 0.500)
Pr (0.313, 0.813, 0.821)
Pr (0.492, 0.313, 0.500)
Pr (0.500, 0.500, 0.000)
Pr (0.508, 0.687, 0.500)
Pr (0.687, 0.187, 0.179)
Pr (0.813, 0.992, 0.500)
Pr (0.992, 0.492, 0.179)
Tl (0.138, 0.362, 0.500)
Tl (0.362, 0.862, 0.223)
Tl (0.638, 0.138, 0.777)
Tl (0.862, 0.638, 0.500)
Sb (0.250, 0.250, 0.000)
Sb (0.750, 0.750, 0.000)

***

Structure and theoretical PXRD pattern of Pr4TlSb5 (a DFT-relaxed cell (PBE, Alexandria); copper Kα).
Intensities are scaled so that the largest is 1000.

Main lines, sorted by position (2θ = 10–90°):
29.52°, intensity 535; 31.01°, intensity 1000; 31.78°, intensity 351; 33.49°, intensity 195; 36.10°, intensity 322; 41.03°, intensity 269; 42.65°, intensity 170; 52.81°, intensity 185

Structural model:
abc: 8.761 8.761 8.761
angles: 150.91 98.34 88.91
Positions (direct):
Pr (0.208, 0.500, 0.708)
Pr (0.244, 0.244, 0.000)
Pr (0.756, 0.756, 0.000)
Pr (0.792, 0.500, 0.292)
Tl (0.500, 0.500, 0.000)
Sb (0.000, 0.000, 0.000)
Sb (0.154, 0.833, 0.321)
Sb (0.488, 0.167, 0.321)
Sb (0.512, 0.833, 0.679)
Sb (0.846, 0.167, 0.679)

***

Structure and theoretical PXRD pattern of Pr3TmSb2 (a DFT-relaxed cell (PBE, Alexandria); copper Kα).
Intensities are scaled so that the largest is 1000.

Main lines, sorted by position (2θ = 10–90°):
29.30°, intensity 1000; 30.31°, intensity 392; 34.26°, intensity 924; 36.20°, intensity 225; 39.24°, intensity 590; 50.37°, intensity 381; 65.10°, intensity 206; 67.95°, intensity 250

Structural model:
abc: 4.591 4.591 8.847
angles: 90.00 90.00 90.00
Positions (direct):
Pr (0.000, 0.000, 0.000)
Pr (0.000, 0.500, 0.646)
Pr (0.500, 0.000, 0.354)
Tm (0.500, 0.500, 0.000)
Sb (0.000, 0.500, 0.275)
Sb (0.500, 0.000, 0.725)

***

Structure and theoretical PXRD pattern of PrY3Sb3 (a DFT-relaxed cell (PBE, Alexandria); copper Kα).
Intensities are scaled so that the largest is 1000.

Main lines, sorted by position (2θ = 10–90°):
30.35°, intensity 1000; 36.09°, intensity 639; 43.46°, intensity 153; 47.86°, intensity 134; 49.94°, intensity 197; 61.37°, intensity 261; 64.90°, intensity 131; 74.95°, intensity 163

Structural model:
abc: 9.312 9.312 9.312
angles: 90.00 90.00 90.00
Positions (direct):
Pr (0.069, 0.431, 0.569)
Pr (0.431, 0.569, 0.069)
Pr (0.569, 0.069, 0.431)
Pr (0.931, 0.931, 0.931)
Y (0.076, 0.576, 0.924)
Y (0.179, 0.821, 0.321)
Y (0.181, 0.181, 0.181)
Y (0.319, 0.819, 0.681)
Y (0.321, 0.179, 0.821)
Y (0.424, 0.424, 0.424)
Y (0.576, 0.924, 0.076)
Y (0.679, 0.679, 0.679)
Y (0.681, 0.319, 0.819)
Y (0.819, 0.681, 0.319)
Y (0.821, 0.321, 0.179)
Y (0.924, 0.076, 0.576)
Sb (0.002, 0.257, 0.879)
Sb (0.121, 0.502, 0.243)
Sb (0.243, 0.121, 0.502)
Sb (0.257, 0.879, 0.002)
Sb (0.379, 0.498, 0.743)
Sb (0.498, 0.743, 0.379)
Sb (0.502, 0.243, 0.121)
Sb (0.621, 0.998, 0.757)
Sb (0.743, 0.379, 0.498)
Sb (0.757, 0.621, 0.998)
Sb (0.879, 0.002, 0.257)
Sb (0.998, 0.757, 0.621)

***

Structure and theoretical PXRD pattern of PrYSb (a DFT-relaxed cell (PBE, Alexandria); copper Kα).
Intensities are scaled so that the largest is 1000.

Main lines, sorted by position (2θ = 10–90°):
29.32°, intensity 983; 31.82°, intensity 1000; 32.41°, intensity 408; 36.90°, intensity 447; 38.47°, intensity 289; 41.00°, intensity 274; 56.33°, intensity 258; 58.94°, intensity 353

Structural model:
abc: 9.520 9.520 9.520
angles: 124.90 79.66 127.39
Positions (direct):
Pr (0.000, 0.250, 0.250)
Pr (0.000, 0.750, 0.750)
Pr (0.407, 0.360, 0.547)
Pr (0.407, 0.860, 0.047)
Pr (0.813, 0.360, 0.953)
Pr (0.813, 0.860, 0.453)
Y (0.149, 0.277, 0.871)
Y (0.149, 0.778, 0.372)
Y (0.407, 0.278, 0.129)
Y (0.407, 0.777, 0.628)
Y (0.664, 0.164, 0.500)
Y (0.664, 0.664, 0.000)
Sb (0.073, 0.407, 0.667)
Sb (0.073, 0.907, 0.167)
Sb (0.406, 0.657, 0.250)
Sb (0.407, 0.157, 0.750)
Sb (0.740, 0.407, 0.333)
Sb (0.740, 0.907, 0.833)